Entry 1:
Starting from a DFT-relaxed cell (GGA-PBE, the Materials Project), the powder diffractogram of Zr2Ti3Sn3 was calculated for λ = 1.5418 Å (Cu Kα).
No peak broadening, texture or thermal motion is included.

Atomic structure:
abc: 8.338 8.338 5.706
angles: 90.00 90.00 120.00
Fractional coordinates of all 16 atoms:
Zr (0.333, 0.667, 0.000)
Zr (0.333, 0.667, 0.500)
Zr (0.667, 0.333, 0.000)
Zr (0.667, 0.333, 0.500)
Ti (0.000, 0.260, 0.250)
Ti (0.000, 0.740, 0.750)
Ti (0.260, 0.000, 0.250)
Ti (0.260, 0.260, 0.750)
Ti (0.740, 0.000, 0.750)
Ti (0.740, 0.740, 0.250)
Sn (0.000, 0.376, 0.750)
Sn (0.000, 0.624, 0.250)
Sn (0.376, 0.000, 0.750)
Sn (0.376, 0.376, 0.250)
Sn (0.624, 0.000, 0.250)
Sn (0.624, 0.624, 0.750)

The 10 most intense peaks (2θ from 5° to 70°), by angle:
| d_spacing | 2θ/deg | I (rel.) |
| --- | --- | --- |
| 7.221 | 12.3 | 48.4 |
| 3.366 | 26.5 | 55.0 |
| 2.853 | 31.4 | 17.4 |
| 2.729 | 32.8 | 16.7 |
| 2.462 | 36.5 | 61.2 |
| 2.407 | 37.4 | 92.4 |
| 2.355 | 38.2 | 100.0 |
| 1.890 | 48.2 | 22.2 |
| 1.683 | 54.5 | 25.7 |
| 1.379 | 68.0 | 25.0 |



Entry 2:
Starting from a DFT-relaxed cell (GGA-PBE, the Materials Project), the powder diffractogram of TlSn3 was calculated for λ = 1.5418 Å (Cu Kα).
No peak broadening, texture or thermal motion is included.

Atomic structure:
abc: 6.726 6.726 5.892
angles: 90.00 90.00 120.00
Fractional coordinates of all 8 atoms:
Tl (0.333, 0.667, 0.250)
Tl (0.667, 0.333, 0.750)
Sn (0.160, 0.321, 0.750)
Sn (0.160, 0.840, 0.750)
Sn (0.321, 0.160, 0.250)
Sn (0.679, 0.840, 0.750)
Sn (0.840, 0.160, 0.250)
Sn (0.840, 0.679, 0.250)

The 10 most intense peaks (2θ from 5° to 70°), by angle:
| d_spacing | 2θ/deg | I (rel.) |
| --- | --- | --- |
| 4.143 | 21.5 | 8.0 |
| 2.946 | 30.3 | 30.9 |
| 2.913 | 30.7 | 22.3 |
| 2.611 | 34.3 | 100.0 |
| 2.071 | 43.7 | 17.3 |
| 1.682 | 54.6 | 18.0 |
| 1.628 | 56.5 | 24.8 |
| 1.473 | 63.1 | 4.0 |
| 1.460 | 63.7 | 22.9 |
| 1.414 | 66.1 | 15.3 |



Entry 3:
Starting from a DFT-relaxed cell (GGA-PBE, the Materials Project), the powder diffractogram of Tl4Sn was calculated for λ = 1.5418 Å (Cu Kα).
No peak broadening, texture or thermal motion is included.

Atomic structure:
abc: 15.171 15.171 15.171
angles: 12.99 12.99 12.99
Fractional coordinates of all 5 atoms:
Tl (0.103, 0.103, 0.103)
Tl (0.299, 0.299, 0.299)
Tl (0.701, 0.701, 0.701)
Tl (0.897, 0.897, 0.897)
Sn (0.500, 0.500, 0.500)

The 10 most intense peaks (2θ from 5° to 70°), by angle:
| d_spacing | 2θ/deg | I (rel.) |
| --- | --- | --- |
| 15.041 | 5.9 | 4.4 |
| 3.008 | 29.7 | 38.0 |
| 2.823 | 31.7 | 100.0 |
| 2.482 | 36.2 | 69.6 |
| 1.797 | 50.8 | 25.6 |
| 1.716 | 53.4 | 23.7 |
| 1.543 | 60.0 | 15.1 |
| 1.491 | 62.3 | 28.9 |
| 1.467 | 63.4 | 14.2 |
| 1.412 | 66.2 | 12.4 |



Entry 4:
Starting from a DFT-relaxed cell (GGA-PBE, the Materials Project), the powder diffractogram of TmSn2 was calculated for λ = 1.5418 Å (Cu Kα).
No peak broadening, texture or thermal motion is included.

Atomic structure:
abc: 8.398 8.398 4.348
angles: 90.00 90.00 149.65
Fractional coordinates of all 6 atoms:
Tm (0.099, 0.901, 0.750)
Tm (0.901, 0.099, 0.250)
Sn (0.251, 0.749, 0.250)
Sn (0.436, 0.564, 0.750)
Sn (0.564, 0.436, 0.250)
Sn (0.749, 0.251, 0.750)

The 10 most intense peaks (2θ from 5° to 70°), by angle:
| d_spacing | 2θ/deg | I (rel.) |
| --- | --- | --- |
| 2.702 | 33.2 | 20.2 |
| 2.683 | 33.4 | 100.0 |
| 2.295 | 39.3 | 6.0 |
| 2.198 | 41.1 | 15.4 |
| 2.174 | 41.5 | 14.9 |
| 1.705 | 53.8 | 10.5 |
| 1.694 | 54.2 | 10.3 |
| 1.556 | 59.4 | 10.3 |
| 1.546 | 59.8 | 10.4 |
| 1.345 | 69.9 | 12.3 |



Entry 5:
Starting from a DFT-relaxed cell (GGA-PBE, the Materials Project), the powder diffractogram of Tm11Sn10 was calculated for λ = 1.5418 Å (Cu Kα).
No peak broadening, texture or thermal motion is included.

Atomic structure:
abc: 11.720 11.720 11.720
angles: 121.13 121.13 88.05
Fractional coordinates of all 42 atoms:
Tm (0.060, 0.312, 0.748)
Tm (0.102, 0.433, 0.330)
Tm (0.102, 0.772, 0.670)
Tm (0.164, 0.164, 0.000)
Tm (0.228, 0.898, 0.330)
Tm (0.312, 0.060, 0.748)
Tm (0.312, 0.564, 0.252)
Tm (0.326, 0.326, 0.651)
Tm (0.326, 0.674, 0.000)
Tm (0.433, 0.102, 0.330)
Tm (0.436, 0.688, 0.748)
Tm (0.564, 0.312, 0.252)
Tm (0.567, 0.898, 0.670)
Tm (0.674, 0.326, 0.000)
Tm (0.674, 0.674, 0.349)
Tm (0.688, 0.436, 0.748)
Tm (0.688, 0.940, 0.252)
Tm (0.772, 0.102, 0.670)
Tm (0.836, 0.836, 0.000)
Tm (0.898, 0.228, 0.330)
Tm (0.898, 0.567, 0.670)
Tm (0.940, 0.688, 0.252)
Sn (0.031, 0.031, 0.413)
Sn (0.031, 0.618, 0.000)
Sn (0.130, 0.130, 0.260)
Sn (0.130, 0.870, 0.000)
Sn (0.144, 0.500, 0.644)
Sn (0.250, 0.750, 0.500)
Sn (0.382, 0.382, 0.413)
Sn (0.382, 0.969, 0.000)
Sn (0.387, 0.387, 0.000)
Sn (0.500, 0.144, 0.644)
Sn (0.500, 0.856, 0.356)
Sn (0.613, 0.613, 0.000)
Sn (0.618, 0.031, 0.000)
Sn (0.618, 0.618, 0.587)
Sn (0.750, 0.250, 0.500)
Sn (0.856, 0.500, 0.356)
Sn (0.870, 0.130, 0.000)
Sn (0.870, 0.870, 0.740)
Sn (0.969, 0.382, 0.000)
Sn (0.969, 0.969, 0.587)

The 10 most intense peaks (2θ from 5° to 70°), by angle:
| d_spacing | 2θ/deg | I (rel.) |
| --- | --- | --- |
| 2.880 | 31.1 | 35.9 |
| 2.821 | 31.7 | 90.1 |
| 2.777 | 32.2 | 100.0 |
| 2.756 | 32.5 | 52.8 |
| 2.725 | 32.9 | 53.4 |
| 2.715 | 33.0 | 75.2 |
| 2.533 | 35.4 | 50.0 |
| 2.132 | 42.4 | 23.8 |
| 1.921 | 47.3 | 30.8 |
| 1.432 | 65.1 | 34.3 |



Entry 6:
Starting from a DFT-relaxed cell (GGA-PBE, the Materials Project), the powder diffractogram of TmSn3 was calculated for λ = 1.5418 Å (Cu Kα).
No peak broadening, texture or thermal motion is included.

Atomic structure:
abc: 4.427 11.229 11.229
angles: 22.65 90.00 90.00
Fractional coordinates of all 8 atoms:
Tm (0.000, 0.000, 0.000)
Tm (0.500, 0.269, 0.269)
Sn (0.000, 0.383, 0.383)
Sn (0.000, 0.617, 0.617)
Sn (0.000, 0.754, 0.754)
Sn (0.500, 0.119, 0.119)
Sn (0.500, 0.506, 0.506)
Sn (0.500, 0.882, 0.882)

The 10 most intense peaks (2θ from 5° to 70°), by angle:
| d_spacing | 2θ/deg | I (rel.) |
| --- | --- | --- |
| 2.875 | 31.1 | 68.8 |
| 2.753 | 32.5 | 41.5 |
| 2.548 | 35.2 | 100.0 |
| 2.214 | 40.8 | 34.0 |
| 2.205 | 40.9 | 29.4 |
| 1.725 | 53.1 | 21.3 |
| 1.721 | 53.2 | 21.2 |
| 1.562 | 59.1 | 20.4 |
| 1.489 | 62.4 | 25.6 |
| 1.359 | 69.1 | 19.8 |



Entry 7:
Starting from a DFT-relaxed cell (GGA-PBE, the Materials Project), the powder diffractogram of Tm5Sn3 was calculated for λ = 1.5418 Å (Cu Kα).
No peak broadening, texture or thermal motion is included.

Atomic structure:
abc: 8.840 8.840 6.463
angles: 90.00 90.00 120.00
Fractional coordinates of all 16 atoms:
Tm (0.000, 0.239, 0.250)
Tm (0.000, 0.761, 0.750)
Tm (0.239, 0.000, 0.250)
Tm (0.239, 0.239, 0.750)
Tm (0.333, 0.667, 0.000)
Tm (0.333, 0.667, 0.500)
Tm (0.667, 0.333, 0.000)
Tm (0.667, 0.333, 0.500)
Tm (0.761, 0.000, 0.750)
Tm (0.761, 0.761, 0.250)
Sn (0.000, 0.395, 0.750)
Sn (0.000, 0.605, 0.250)
Sn (0.395, 0.000, 0.750)
Sn (0.395, 0.395, 0.250)
Sn (0.605, 0.000, 0.250)
Sn (0.605, 0.605, 0.750)

The 10 most intense peaks (2θ from 5° to 70°), by angle:
| d_spacing | 2θ/deg | I (rel.) |
| --- | --- | --- |
| 3.231 | 27.6 | 15.6 |
| 2.977 | 30.0 | 22.1 |
| 2.894 | 30.9 | 34.5 |
| 2.641 | 33.9 | 100.0 |
| 2.609 | 34.4 | 77.0 |
| 2.552 | 35.2 | 38.0 |
| 1.824 | 50.0 | 20.1 |
| 1.728 | 53.0 | 28.7 |
| 1.647 | 55.8 | 15.1 |
| 1.384 | 67.7 | 17.6 |



Entry 8:
Starting from a DFT-relaxed cell (GGA-PBE, the Materials Project), the powder diffractogram of USn was calculated for λ = 1.5418 Å (Cu Kα).
No peak broadening, texture or thermal motion is included.

Atomic structure:
abc: 3.111 3.111 5.481
angles: 90.00 90.00 120.00
Fractional coordinates of all 2 atoms:
U (0.000, 0.000, 0.000)
Sn (0.333, 0.667, 0.500)

The 10 most intense peaks (2θ from 5° to 70°), by angle:
| d_spacing | 2θ/deg | I (rel.) |
| --- | --- | --- |
| 5.481 | 16.2 | 14.3 |
| 2.740 | 32.7 | 30.3 |
| 2.694 | 33.3 | 27.7 |
| 2.418 | 37.2 | 100.0 |
| 1.921 | 47.3 | 21.1 |
| 1.556 | 59.4 | 17.2 |
| 1.512 | 61.3 | 24.3 |
| 1.370 | 68.5 | 3.8 |
| 1.353 | 69.5 | 22.1 |
| 1.347 | 69.8 | 3.5 |



Copy entry 6 word for word.
Starting from a DFT-relaxed cell (GGA-PBE, the Materials Project), the powder diffractogram of TmSn3 was calculated for λ = 1.5418 Å (Cu Kα).
No peak broadening, texture or thermal motion is included.

Atomic structure:
abc: 4.427 11.229 11.229
angles: 22.65 90.00 90.00
Fractional coordinates of all 8 atoms:
Tm (0.000, 0.000, 0.000)
Tm (0.500, 0.269, 0.269)
Sn (0.000, 0.383, 0.383)
Sn (0.000, 0.617, 0.617)
Sn (0.000, 0.754, 0.754)
Sn (0.500, 0.119, 0.119)
Sn (0.500, 0.506, 0.506)
Sn (0.500, 0.882, 0.882)

The 10 most intense peaks (2θ from 5° to 70°), by angle:
| d_spacing | 2θ/deg | I (rel.) |
| --- | --- | --- |
| 2.875 | 31.1 | 68.8 |
| 2.753 | 32.5 | 41.5 |
| 2.548 | 35.2 | 100.0 |
| 2.214 | 40.8 | 34.0 |
| 2.205 | 40.9 | 29.4 |
| 1.725 | 53.1 | 21.3 |
| 1.721 | 53.2 | 21.2 |
| 1.562 | 59.1 | 20.4 |
| 1.489 | 62.4 | 25.6 |
| 1.359 | 69.1 | 19.8 |